Diffraction record for LaGa40Mo8. The XRD peak list is calculated, not measured: it uses a DFT-relaxed cell (GGA-PBE, the Materials Project) and Cu Kα (weighted mean of Kα1 and Kα2).
Intensities are scaled so that the largest is 100.

Structural model:
Cell lengths 9.6762, 9.6762, 9.6762 Å; angles 94.30, 94.30, 94.30 degrees
Sites, in units of the cell vectors:
La (0.0000, 0.0000, 0.0000)
Ga (0.0000, 0.5000, 0.5000)
Ga (0.0338, 0.2138, 0.4031)
Ga (0.0433, 0.7118, 0.8588)
Ga (0.0732, 0.4436, 0.7786)
Ga (0.1219, 0.1723, 0.6874)
Ga (0.1412, 0.9567, 0.2882)
Ga (0.1723, 0.6874, 0.1219)
Ga (0.2138, 0.4031, 0.0338)
Ga (0.2214, 0.9268, 0.5564)
Ga (0.2230, 0.4677, 0.3258)
Ga (0.2689, 0.6373, 0.6113)
Ga (0.2882, 0.1412, 0.9567)
Ga (0.3126, 0.8781, 0.8277)
Ga (0.3258, 0.2230, 0.4677)
Ga (0.3627, 0.3887, 0.7311)
Ga (0.3887, 0.7311, 0.3627)
Ga (0.4031, 0.0338, 0.2138)
Ga (0.4436, 0.7786, 0.0732)
Ga (0.4677, 0.3258, 0.2230)
Ga (0.5000, 0.0000, 0.5000)
Ga (0.5000, 0.5000, 0.0000)
Ga (0.5000, 0.5000, 0.5000)
Ga (0.5323, 0.6742, 0.7770)
Ga (0.5564, 0.2214, 0.9268)
Ga (0.5969, 0.9662, 0.7862)
Ga (0.6113, 0.2689, 0.6373)
Ga (0.6373, 0.6113, 0.2689)
Ga (0.6742, 0.7770, 0.5323)
Ga (0.6874, 0.1219, 0.1723)
Ga (0.7118, 0.8588, 0.0433)
Ga (0.7311, 0.3627, 0.3887)
Ga (0.7770, 0.5323, 0.6742)
Ga (0.7786, 0.0732, 0.4436)
Ga (0.7862, 0.5969, 0.9662)
Ga (0.8277, 0.3126, 0.8781)
Ga (0.8588, 0.0433, 0.7118)
Ga (0.8781, 0.8277, 0.3126)
Ga (0.9268, 0.5564, 0.2214)
Ga (0.9567, 0.2882, 0.1412)
Ga (0.9662, 0.7862, 0.5969)
Mo (0.1136, 0.7087, 0.3896)
Mo (0.2106, 0.2106, 0.2106)
Mo (0.2913, 0.6104, 0.8864)
Mo (0.3896, 0.1136, 0.7087)
Mo (0.6104, 0.8864, 0.2913)
Mo (0.7087, 0.3896, 0.1136)
Mo (0.7894, 0.7894, 0.7894)
Mo (0.8864, 0.2913, 0.6104)

Principal peaks in the range 10° ≤ 2θ ≤ 90°, by angle:
2θ = 21.70°, 4.096 Å, I = 41; 2θ = 30.60°, 2.921 Å, I = 64; 2θ = 37.83°, 2.378 Å, I = 46; 2θ = 39.36°, 2.289 Å, I = 60; 2θ = 39.58°, 2.277 Å, I = 75; 2θ = 41.38°, 2.182 Å, I = 86; 2θ = 43.43°, 2.084 Å, I = 100; 2θ = 44.23°, 2.048 Å, I = 85